# 1
This entry pairs a crystal structure of Ac2MgC2N6 with its computed X-ray powder pattern. Radiation: Cu Kα (weighted mean of Kα1 and Kα2). Structure: a structure optimized by DFT (GGA-PBE).
Kinematic intensities with the Lorentz-polarization factor, no thermal factor.

Largest 12 diffraction maxima, by angle, 2θ = 10–90°:
Position (°2θ)	I (rel.)	h k l
18.52	40	1 0 0
24.57	100	0 1 1
32.35	71	0 0 2
37.52	36	1 0 2
41.04	45	2 0 1
46.39	27	1 1 2
50.37	17	0 2 2
53.20	43	1 2 1
61.14	10	2 1 2
67.72	18	2 2 0
73.23	23	3 1 1
77.05	13	2 2 2

Cell and atoms:
```
data_Ac2MgC2N6
_symmetry_space_group_name_H-M 'P -3 m 1'
_symmetry_Int_Tables_number 164
_symmetry_space_group_name_Hall '-P 3 2"'
_cell_length_a 5.5333
_cell_length_b 5.5333
_cell_length_c 5.5384
_cell_angle_alpha 90.00
_cell_angle_beta 90.00
_cell_angle_gamma 120.00
loop_
_atom_site_label
_atom_site_type_symbol
_atom_site_fract_x
_atom_site_fract_y
_atom_site_fract_z
_atom_site_occupancy
Ac1 Ac 0.3333 0.6667 0.2794 1
Mg1 Mg 0.0000 0.0000 0.0000 1
C1 C 0.3333 0.6667 0.7824 1
N1 N 0.1921 0.3842 0.7760 1
```

***

# 2
This entry pairs a crystal structure of TiGaPtRh with its computed X-ray powder pattern. Radiation: Cu Kα (weighted mean of Kα1 and Kα2). Structure: a structure optimized by DFT (GGA-PBE).
Kinematic intensities with the Lorentz-polarization factor, no thermal factor.

Largest 12 diffraction maxima, by angle, 2θ = 10–90°:
Position (°2θ)	I (rel.)	h k l
24.19	16	0 0 2
25.28	15	1 0 1
31.53	17	1 1 0
40.13	100	1 1 2
45.19	36	2 0 0
49.56	14	0 0 4
51.91	9	2 0 2
65.83	11	2 2 0
69.30	19	2 0 4
79.98	26	3 1 2
86.45	11	1 1 6
86.67	11	2 2 4

Cell and atoms:
```
data_TiGaPtRh
_symmetry_space_group_name_H-M 'I -4 m 2'
_symmetry_Int_Tables_number 119
_symmetry_space_group_name_Hall 'I -4 -2'
_cell_length_a 4.0127
_cell_length_b 4.0127
_cell_length_c 7.3576
_cell_angle_alpha 90.00
_cell_angle_beta 90.00
_cell_angle_gamma 90.00
loop_
_atom_site_label
_atom_site_type_symbol
_atom_site_fract_x
_atom_site_fract_y
_atom_site_fract_z
_atom_site_occupancy
Ti1 Ti 0.0000 0.0000 0.0000 1
Ga1 Ga 0.0000 0.0000 0.5000 1
Pt1 Pt 0.0000 0.5000 0.2500 1
Rh1 Rh 0.0000 0.5000 0.7500 1
```

***

# 3
This entry pairs a crystal structure of KP4 with its computed X-ray powder pattern. Radiation: Cu Kα (weighted mean of Kα1 and Kα2). Structure: a structure optimized by DFT (GGA-PBE).
Kinematic intensities with the Lorentz-polarization factor, no thermal factor.

Largest 12 diffraction maxima, by angle, 2θ = 10–90°:
Position (°2θ)	I (rel.)	h k l
16.98	71	0 1 0
21.03	52	0 1 -1
23.10	30	1 -1 0
26.04	95	0 1 1
29.83	58	1 -1 1
30.52	33	1 0 1
31.20	100	1 1 0
34.15	83	1 0 -2
34.78	46	1 -2 0
52.03	21	2 -2 1
52.64	40	2 1 -2
54.01	22	1 2 1

Cell and atoms:
```
data_KP4
_symmetry_space_group_name_H-M 'P -1'
_symmetry_Int_Tables_number 2
_cell_length_a 4.4684
_cell_length_b 5.5169
_cell_length_c 5.6913
_cell_angle_alpha 97.90
_cell_angle_beta 103.34
_cell_angle_gamma 104.59
loop_
_symmetry_equiv_pos_as_xyz
'x,y,z'
'-x,-y,-z'
loop_
_atom_site_label
_atom_site_type_symbol
_atom_site_fract_x
_atom_site_fract_y
_atom_site_fract_z
_atom_site_occupancy
K1 K 0.0000 0.0000 0.0000 1
P1 P 0.2672 0.6162 0.5767 1
P2 P 0.4605 0.6202 0.2536 1
```